No. 1
Calculated X-ray powder pattern
Compound: Li2Hg5Pd5
Radiation: Cu Kα X-rays
Structure: a GGA-PBE-relaxed structure
Kinematic intensities with the Lorentz-polarization factor, no thermal factor.

Cell and atoms:
Cell: 12.488 4.013 9.369 Å, 90.00 115.84 90.00°
Space group C2/m (No. 12)
One atom of each set of equivalent atoms:
Li 0.081 0.000 0.263 (multiplicity 4)
Hg 0.000 0.000 0.500 (multiplicity 2)
Hg 0.151 0.000 0.984 (multiplicity 4)
Hg 0.237 0.500 0.261 (multiplicity 4)
Pd 0.000 0.500 0.000 (multiplicity 2)
Pd 0.084 0.500 0.746 (multiplicity 4)
Pd 0.163 0.500 0.500 (multiplicity 4)

Largest 10 diffraction maxima, low angle first, 10 to 80 degrees two-theta:
Position (°2θ), I (rel.)
27.24, 13
28.78, 15
29.34, 14
37.63, 100
37.87, 98
42.90, 36
43.48, 30
45.19, 32
64.08, 22
64.52, 19

***

No. 2
Calculated X-ray powder pattern
Compound: ZrCoRe
Radiation: Cu Kα X-rays
Structure: a GGA-PBE-relaxed structure
Kinematic intensities with the Lorentz-polarization factor, no thermal factor.

Cell and atoms:
Cell: 5.053 5.119 7.316 Å, 90.00 90.00 90.00°
Space group Imma (No. 74)
One atom of each set of equivalent atoms:
Zr 0.000 0.250 0.124 (multiplicity 4)
Co 0.000 0.000 0.500 (multiplicity 4)
Re 0.250 0.250 0.750 (multiplicity 4)

Largest 10 diffraction maxima, low angle first, 10 to 80 degrees two-theta:
Position (°2θ), I (rel.)
21.18, 63
24.33, 23
35.03, 53
41.00, 53
41.43, 27
41.73, 100
43.14, 44
43.53, 44
67.46, 24
73.92, 33

***

No. 3
Calculated X-ray powder pattern
Compound: RbYFeBr6
Radiation: Cu Kα X-rays
Structure: a GGA-PBE-relaxed structure
Kinematic intensities with the Lorentz-polarization factor, no thermal factor.

Cell and atoms:
Cell: 7.105 12.312 7.710 Å, 90.00 90.11 90.00°
Space group C2 (No. 5)
One atom of each set of equivalent atoms:
Rb 0.000 0.000 0.000 (multiplicity 2)
Y 0.000 0.334 0.500 (multiplicity 2)
Fe 0.000 0.667 0.500 (multiplicity 2)
Br 0.125 0.508 0.705 (multiplicity 4)
Br 0.174 0.809 0.704 (multiplicity 4)
Br 0.199 0.182 0.703 (multiplicity 4)

Largest 10 diffraction maxima, low angle first, 10 to 80 degrees two-theta:
Position (°2θ), I (rel.)
11.48, 39
18.45, 62
27.64, 100
34.32, 90
40.51, 27
43.46, 24
44.15, 37
54.13, 15
55.11, 16
57.08, 15